This entry pairs a crystal structure of TiPO4 with its computed powder diffractogram. Radiation: Cu Kα X-rays. Structure: DFT lattice parameters and positions (GGA-PBE).

Main lines, in order of rising 2θ (2θ = 10–90°):
Position (°2θ)  I_rel
20.4  52
24.2  100
33.2  48
35.6  27
47.6  25
49.5  19

Atomic structure:
Cell lengths 8.507, 8.507, 8.507 Å; angles 61.71, 61.71, 61.71 degrees
Positions (direct):
1 Ti 0.000 0.000 0.000
2 Ti 0.143 0.143 0.143
3 Ti 0.357 0.357 0.357
4 Ti 0.500 0.500 0.500
5 Ti 0.643 0.643 0.643
6 Ti 0.857 0.857 0.857
7 P 0.044 0.750 0.456
8 P 0.250 0.544 0.956
9 P 0.456 0.044 0.750
10 P 0.544 0.956 0.250
11 P 0.750 0.456 0.044
12 P 0.956 0.250 0.544
13 O 0.002 0.821 0.612
14 O 0.059 0.906 0.258
15 O 0.094 0.742 0.941
16 O 0.112 0.321 0.502
17 O 0.179 0.388 0.998
18 O 0.242 0.594 0.441
19 O 0.258 0.059 0.906
20 O 0.321 0.502 0.112
21 O 0.388 0.998 0.179
22 O 0.406 0.559 0.758
23 O 0.441 0.242 0.594
24 O 0.498 0.888 0.679
25 O 0.502 0.112 0.321
26 O 0.559 0.758 0.406
27 O 0.594 0.441 0.242
28 O 0.612 0.002 0.821
29 O 0.679 0.498 0.888
30 O 0.742 0.941 0.094
31 O 0.758 0.406 0.559
32 O 0.821 0.612 0.002
33 O 0.888 0.679 0.498
34 O 0.906 0.258 0.059
35 O 0.941 0.094 0.742
36 O 0.998 0.179 0.388

***

This entry pairs a crystal structure of Ti2P2O11 with its computed powder diffractogram. Radiation: Cu Kα X-rays. Structure: DFT lattice parameters and positions (GGA-PBE).

Main lines, in order of rising 2θ (2θ = 10–90°):
Position (°2θ)  I_rel
10.1  55
11.8  100
18.8  38
20.3  74
22.9  40
24.8  75

Atomic structure:
Cell lengths 5.244, 9.128, 9.846 Å; angles 74.07, 85.82, 84.64 degrees
Positions (direct):
1 Ti 0.076 0.384 0.295
2 Ti 0.263 0.760 0.160
3 Ti 0.737 0.240 0.840
4 Ti 0.924 0.616 0.705
5 P 0.218 0.163 0.072
6 P 0.252 0.319 0.627
7 P 0.748 0.681 0.373
8 P 0.782 0.837 0.928
9 O 0.048 0.803 0.992
10 O 0.051 0.220 0.721
11 O 0.166 0.796 0.630
12 O 0.191 0.491 0.622
13 O 0.215 0.233 0.200
14 O 0.228 0.599 0.813
15 O 0.234 0.554 0.196
16 O 0.246 0.309 0.473
17 O 0.273 0.990 0.122
18 O 0.426 0.239 0.964
19 O 0.478 0.737 0.320
20 O 0.522 0.263 0.680
21 O 0.574 0.761 0.036
22 O 0.727 0.010 0.878
23 O 0.754 0.691 0.527
24 O 0.766 0.446 0.804
25 O 0.772 0.401 0.187
26 O 0.785 0.767 0.800
27 O 0.809 0.509 0.378
28 O 0.834 0.204 0.370
29 O 0.949 0.780 0.279
30 O 0.952 0.197 0.008